Entry 1:
For PaGaTc2, the PBE geometry in the Materials Project gives the calculated powder diffractogram in this record (copper Kα).
No peak broadening, texture or thermal motion is included.

Largest 10 diffraction maxima, sorted by position, 10 to 80 degrees two-theta:
two_theta	I_rel
23.61	22
27.33	5
39.03	100
46.12	12
48.30	1
56.38	17
61.97	5
63.77	2
70.70	35
75.71	4

Structure:
```
PaGaTc2
1.0
6.527 0.000 0.000
0.000 6.527 0.000
0.000 0.000 6.527
Pa Ga Tc
4 4 8
Cartesian
0.000 0.000 0.000
0.000 3.264 3.264
3.264 0.000 3.264
3.264 3.264 0.000
0.000 0.000 3.264
0.000 3.264 0.000
3.264 0.000 0.000
3.264 3.264 3.264
1.632 1.632 1.632
1.632 1.632 4.896
1.632 4.896 1.632
1.632 4.896 4.896
4.896 1.632 1.632
4.896 1.632 4.896
4.896 4.896 1.632
4.896 4.896 4.896
```

***

Entry 2:
For GaPb3, the PBE geometry in the Materials Project gives the calculated powder diffractogram in this record (copper Kα).
No peak broadening, texture or thermal motion is included.

Largest 10 diffraction maxima, sorted by position, 10 to 80 degrees two-theta:
two_theta	I_rel
21.45	13
26.15	5
30.28	23
30.74	29
34.06	100
43.70	17
53.79	18
56.81	24
63.25	23
65.22	16

Structure:
```
GaPb3
1.0
6.817 0.000 0.000
-3.408 5.903 0.000
0.000 0.000 5.816
Ga Pb
2 6
Cartesian
0.000 3.936 1.454
3.408 1.968 4.362
0.000 2.006 4.362
-1.671 4.900 4.362
1.738 1.003 1.454
1.671 4.900 4.362
5.079 1.003 1.454
3.408 3.897 1.454
```

***

Entry 3:
For GaPb3, the PBE geometry in the Materials Project gives the calculated powder diffractogram in this record (copper Kα).
No peak broadening, texture or thermal motion is included.

Largest 10 diffraction maxima, sorted by position, 10 to 80 degrees two-theta:
two_theta	I_rel
20.41	10
31.67	100
35.58	18
37.30	33
52.50	25
53.77	12
61.47	16
63.76	28
66.15	13
79.52	4

Structure:
```
GaPb3
1.0
4.822 0.000 0.000
0.000 4.822 0.000
0.000 0.000 10.093
Ga Pb
2 6
Cartesian
0.000 0.000 0.000
2.411 2.411 5.047
0.000 0.000 5.047
0.000 2.411 2.523
0.000 2.411 7.570
2.411 0.000 2.523
2.411 0.000 7.570
2.411 2.411 0.000
```

***

Entry 4:
For Ga2PbS4, the PBE geometry in the Materials Project gives the calculated powder diffractogram in this record (copper Kα).
No peak broadening, texture or thermal motion is included.

Largest 10 diffraction maxima, sorted by position, 10 to 80 degrees two-theta:
two_theta	I_rel
16.76	42
23.77	100
24.04	36
29.69	39
33.85	32
38.02	69
38.74	16
45.63	24
48.36	14
54.82	15

Structure:
```
Ga2PbS4
1.0
0.000 10.348 10.595
6.156 0.000 10.595
6.156 10.348 0.000
Ga Pb S
16 8 32
Cartesian
8.186 9.213 5.296
4.636 4.932 5.291
8.186 6.309 10.597
11.264 11.483 10.593
4.598 4.932 10.601
7.676 10.106 10.589
4.598 10.589 5.291
1.049 6.309 5.296
11.264 14.387 15.894
7.715 10.106 15.899
4.636 10.589 10.601
7.715 15.763 10.589
1.049 9.213 10.597
4.127 14.387 10.593
7.676 15.763 15.899
4.127 11.483 15.894
4.617 7.761 2.573
1.539 2.587 2.649
7.695 12.935 7.871
4.617 7.761 7.946
7.695 12.935 13.244
4.617 7.761 13.320
10.774 18.109 18.541
7.695 12.935 18.617
3.089 5.174 1.736
6.145 10.348 1.736
6.146 5.172 7.039
9.223 10.348 7.034
3.125 3.230 5.276
9.187 8.403 10.574
6.109 3.230 10.616
5.966 8.716 5.275
3.268 6.806 5.275
9.044 11.980 10.573
5.966 6.806 10.618
6.109 12.292 5.276
3.088 5.172 8.853
6.146 10.350 8.853
6.145 5.174 14.156
9.224 10.346 14.151
3.088 10.350 7.039
6.168 15.522 7.034
6.167 10.346 12.337
9.224 15.524 12.337
6.204 8.403 15.914
6.346 13.890 10.573
3.268 8.716 10.618
9.044 13.890 15.915
6.346 11.980 15.915
6.204 17.466 10.574
3.125 12.292 10.616
9.187 17.466 15.914
3.089 10.348 14.156
6.167 15.524 14.151
6.168 10.348 19.454
9.223 15.522 19.454
```

***

Entry 5:
For Ga2PbSe4, the PBE geometry in the Materials Project gives the calculated powder diffractogram in this record (copper Kα).
No peak broadening, texture or thermal motion is included.

Largest 10 diffraction maxima, sorted by position, 10 to 80 degrees two-theta:
two_theta	I_rel
16.00	48
22.80	90
28.38	38
29.23	35
29.55	39
32.59	31
36.33	100
37.09	27
43.75	27
46.09	18

Structure:
```
Ga2PbSe4
1.0
0.000 10.804 10.991
6.450 0.000 10.991
6.450 10.804 0.000
Ga Pb Se
16 8 32
Cartesian
8.595 9.631 5.482
4.864 5.159 5.484
11.821 11.977 10.978
8.595 6.575 11.003
8.037 10.561 10.979
4.812 5.159 11.002
4.812 11.047 5.484
1.080 6.575 5.482
11.821 15.033 16.499
8.089 10.561 16.497
8.089 16.449 10.979
4.864 11.047 11.002
4.306 15.033 10.978
1.080 9.631 11.003
8.037 16.449 16.497
4.306 11.977 16.499
4.838 8.103 2.690
1.613 2.701 2.748
8.063 13.505 8.185
4.838 8.103 8.243
8.063 13.505 13.738
4.838 8.103 13.796
11.288 18.907 19.233
8.063 13.505 19.291
3.234 5.369 1.862
9.667 10.771 7.358
6.441 5.424 7.353
6.442 10.837 1.862
6.449 3.379 10.973
3.227 3.379 5.513
9.674 8.781 11.008
6.246 9.050 5.440
3.429 7.157 5.440
6.449 12.827 5.513
9.471 12.559 10.935
6.246 7.157 11.046
6.442 5.369 14.623
6.441 10.783 9.132
3.235 5.424 9.132
9.666 10.826 14.628
3.235 10.783 7.353
9.666 16.185 12.849
6.460 10.826 12.849
6.459 16.240 7.358
6.655 14.452 10.935
3.429 9.050 11.046
6.452 8.781 16.468
9.471 14.452 16.541
6.655 12.559 16.541
3.227 12.827 10.973
9.674 18.229 16.468
6.452 18.229 11.008
6.459 10.771 20.119
6.460 16.185 14.628
3.234 10.837 14.623
9.667 16.240 20.119
```

***

Entry 6:
For Ga2PbSe4, the PBE geometry in the Materials Project gives the calculated powder diffractogram in this record (copper Kα).
No peak broadening, texture or thermal motion is included.

Largest 10 diffraction maxima, sorted by position, 10 to 80 degrees two-theta:
two_theta	I_rel
16.14	54
22.82	61
29.17	34
29.33	34
32.37	23
32.66	22
36.37	23
36.54	100
46.76	26
55.36	28

Structure:
```
Ga2PbSe4
1.0
3.172 -5.483 0.000
3.172 5.483 0.000
0.000 0.000 11.064
Ga Pb Se
4 2 8
Cartesian
3.163 2.869 0.000
3.182 2.869 5.532
3.163 -2.869 5.532
3.182 -2.869 0.000
3.172 0.000 2.766
3.172 0.000 8.298
1.586 2.742 1.882
1.586 2.742 9.182
1.703 0.876 5.532
1.703 -0.876 0.000
1.586 -2.742 3.650
1.586 -2.742 7.414
4.642 0.876 0.000
4.642 -0.876 5.532
```

***

Entry 7:
For GaPd3, the PBE geometry in the Materials Project gives the calculated powder diffractogram in this record (copper Kα).
No peak broadening, texture or thermal motion is included.

Largest 6 diffraction maxima, sorted by position, 10 to 80 degrees two-theta:
two_theta	I_rel
24.69	2
28.59	1
40.87	100
48.34	1
59.18	16
74.42	33

Structure:
```
GaPd3
1.0
6.245 0.000 0.000
0.000 6.245 0.000
0.000 0.000 6.245
Ga Pd
4 12
Cartesian
0.000 0.000 0.000
0.000 3.123 3.123
3.123 0.000 3.123
3.123 3.123 0.000
0.000 0.000 3.123
0.000 3.123 0.000
1.561 1.561 1.561
1.561 1.561 4.684
1.561 4.684 1.561
1.561 4.684 4.684
3.123 0.000 0.000
3.123 3.123 3.123
4.684 1.561 1.561
4.684 1.561 4.684
4.684 4.684 1.561
4.684 4.684 4.684
```

***

Entry 8:
For Ga7Pd3, the PBE geometry in the Materials Project gives the calculated powder diffractogram in this record (copper Kα).
No peak broadening, texture or thermal motion is included.

Largest 10 diffraction maxima, sorted by position, 10 to 80 degrees two-theta:
two_theta	I_rel
20.01	10
24.57	30
35.02	35
37.93	26
43.24	100
50.36	19
62.81	19
64.74	9
68.51	14
79.32	34

Structure:
```
Ga7Pd3
1.0
-4.438 4.438 4.438
4.438 -4.438 4.438
4.438 4.438 -4.438
Ga Pd
14 6
Cartesian
1.454 1.454 -1.454
2.984 2.984 -2.984
1.454 -1.454 1.454
2.984 -2.984 2.984
4.438 2.219 0.000
4.438 0.000 2.219
-1.454 1.454 1.454
1.454 1.454 1.454
2.219 4.438 0.000
2.219 0.000 4.438
-2.984 2.984 2.984
2.984 2.984 2.984
0.000 4.438 2.219
0.000 2.219 4.438
3.052 0.000 0.000
5.824 0.000 0.000
0.000 3.052 0.000
0.000 0.000 3.052
0.000 5.824 0.000
0.000 0.000 5.824
```

***

Entry 9:
For GaPd3, the PBE geometry in the Materials Project gives the calculated powder diffractogram in this record (copper Kα).
No peak broadening, texture or thermal motion is included.

Largest 10 diffraction maxima, sorted by position, 10 to 80 degrees two-theta:
two_theta	I_rel
18.25	1
27.14	3
31.88	1
36.98	25
40.49	25
42.35	100
55.98	14
66.64	17
74.92	18
78.73	3

Structure:
```
GaPd3
1.0
5.614 0.000 0.000
-2.807 4.862 0.000
0.000 0.000 4.456
Ga Pd
2 6
Cartesian
0.000 3.241 1.114
2.807 1.621 3.342
0.000 1.637 3.342
-1.389 4.043 3.342
1.418 0.819 1.114
1.389 4.043 3.342
4.196 0.819 1.114
2.807 3.224 1.114
```

***

Number 2 is which compound? GaPb3